Diffraction record for YTm4Ni4. The powder diffraction line list is simulated, not measured: it uses a GGA-PBE-relaxed structure and Cu Kα (λ = 1.5418 Å).
Kinematic intensities with the Lorentz-polarization factor, no thermal factor.

Peak list (10 most intense, 10° ≤ 2θ ≤ 90°, in order of rising 2θ)
h k l	2θ/deg	I (rel.)
1 1 0	14.65	28
2 1 1	28.50	62
1 3 0	33.14	100
1 0 2	34.50	55
1 2 2	40.62	21
3 0 2	46.05	24
4 2 0	47.57	34
2 3 2	51.03	26
1 4 2	55.67	20
5 0 1	56.39	20

```
YTm4Ni4
1.0
8.5492 0.0000 0.0000
0.0000 8.5492 0.0000
0.0000 0.0000 5.4580
Y Tm Ni
2 8 8
direct
0.2500 0.2500 0.2500 Y
0.7500 0.7500 0.7500 Y
0.0723 0.6613 0.1487 Tm
0.1613 0.9277 0.6487 Tm
0.3387 0.5723 0.6487 Tm
0.4277 0.8387 0.1487 Tm
0.5723 0.1613 0.8513 Tm
0.6613 0.4277 0.3513 Tm
0.8387 0.0723 0.3513 Tm
0.9277 0.3387 0.8513 Tm
0.0286 0.6144 0.6387 Ni
0.1144 0.9714 0.1387 Ni
0.3856 0.5286 0.1387 Ni
0.4714 0.8856 0.6387 Ni
0.5286 0.1144 0.3613 Ni
0.6144 0.4714 0.8613 Ni
0.8856 0.0286 0.8613 Ni
0.9714 0.3856 0.3613 Ni
```